Diffraction record for Rb2CeTeSe4. The XRD peak list is simulated, not measured: it uses DFT lattice parameters and positions (GGA-PBE) and Cu Kα (weighted mean of Kα1 and Kα2).

The 12 most intense peaks (2θ = 10–90°), most intense first:
2θ 23.58, 3.773 Å, intensity 100
2θ 29.58, 3.020 Å, intensity 90
2θ 29.32, 3.046 Å, intensity 83
2θ 42.13, 2.145 Å, intensity 60
2θ 11.10, 7.968 Å, intensity 59
2θ 37.95, 2.371 Å, intensity 59
2θ 38.81, 2.321 Å, intensity 37
2θ 34.05, 2.633 Å, intensity 28
2θ 22.32, 3.984 Å, intensity 27
2θ 41.94, 2.154 Å, intensity 26
2θ 51.99, 1.759 Å, intensity 25
2θ 45.54, 1.992 Å, intensity 24

Structure:
Cell lengths 12.3369, 12.1859, 8.8394 Å; angles 90.00, 121.39, 90.00 degrees
Space group C2/c (No. 15)
Inequivalent atoms, fractional coordinates:
1 Rb 0.0000 0.0000 0.0000 x4
2 Rb 0.2500 0.2500 0.0000 x4
3 Ce 0.0000 0.5000 0.0000 x4
4 Te 0.2500 0.2500 0.5000 x4
5 Se 0.0465 0.2723 0.5570 x8
6 Se 0.1869 0.4737 0.3874 x8

***

Diffraction record for Ac2Tb5Nd6. The XRD peak list is simulated, not measured: it uses DFT lattice parameters and positions (GGA-PBE) and Cu Kα (weighted mean of Kα1 and Kα2).

The 12 most intense peaks (2θ = 10–90°), most intense first:
2θ 31.05, 2.881 Å, intensity 100
2θ 29.79, 2.999 Å, intensity 35
2θ 30.49, 2.932 Å, intensity 28
2θ 33.13, 2.704 Å, intensity 20
2θ 30.88, 2.896 Å, intensity 16
2θ 35.28, 2.544 Å, intensity 16
2θ 49.01, 1.859 Å, intensity 14
2θ 29.48, 3.030 Å, intensity 12
2θ 50.95, 1.792 Å, intensity 12
2θ 30.73, 2.909 Å, intensity 12
2θ 34.12, 2.628 Å, intensity 12
2θ 52.27, 1.750 Å, intensity 12

Structure:
Cell lengths 12.1240, 20.7547, 3.7170 Å; angles 90.00, 90.00, 90.00 degrees
Space group Pbam (No. 55)
Inequivalent atoms, fractional coordinates:
1 Ac 0.1634 0.2198 0.0000 x4
2 Tb 0.0000 0.5000 0.5000 x2
3 Tb 0.0972 0.7808 0.5000 x4
4 Tb 0.2014 0.0542 0.5000 x4
5 Nd 0.0579 0.9244 0.0000 x4
6 Nd 0.0758 0.6367 0.0000 x4
7 Nd 0.1811 0.3798 0.5000 x4

***

Diffraction record for K2Na3TlO4. The XRD peak list is simulated, not measured: it uses DFT lattice parameters and positions (GGA-PBE) and Cu Kα (weighted mean of Kα1 and Kα2).

The 12 most intense peaks (2θ = 10–90°), most intense first:
2θ 29.83, 2.995 Å, intensity 100
2θ 17.38, 5.102 Å, intensity 99
2θ 14.58, 6.077 Å, intensity 79
2θ 20.56, 4.319 Å, intensity 76
2θ 31.37, 2.852 Å, intensity 73
2θ 30.93, 2.891 Å, intensity 54
2θ 41.77, 2.162 Å, intensity 50
2θ 23.95, 3.715 Å, intensity 48
2θ 18.90, 4.695 Å, intensity 41
2θ 46.65, 1.947 Å, intensity 40
2θ 22.86, 3.891 Å, intensity 29
2θ 38.34, 2.347 Å, intensity 27

Structure:
Cell lengths 9.3899, 9.7280, 7.7820 Å; angles 90.00, 90.00, 90.00 degrees
Space group Pnnm (No. 58)
Inequivalent atoms, fractional coordinates:
1 K 0.0000 0.0000 0.2468 x4
2 K 0.2361 0.2502 0.5000 x4
3 Na 0.0168 0.6506 0.2495 x8
4 Na 0.2402 0.5847 0.5000 x4
5 Tl 0.2273 0.3789 0.0000 x4
6 O 0.0484 0.2224 0.0000 x4
7 O 0.0612 0.7764 0.5000 x4
8 O 0.1985 0.4840 0.2452 x8

***

Diffraction record for Ca4Ag2Cl. The XRD peak list is simulated, not measured: it uses DFT lattice parameters and positions (GGA-PBE) and Cu Kα (weighted mean of Kα1 and Kα2).

The 12 most intense peaks (2θ = 10–90°), most intense first:
2θ 34.18, 2.623 Å, intensity 100
2θ 33.02, 2.713 Å, intensity 86
2θ 23.19, 3.836 Å, intensity 79
2θ 48.26, 1.886 Å, intensity 71
2θ 17.38, 5.101 Å, intensity 59
2θ 33.43, 2.680 Å, intensity 40
2θ 11.81, 7.493 Å, intensity 37
2θ 47.39, 1.918 Å, intensity 29
2θ 69.96, 1.345 Å, intensity 22
2θ 37.55, 2.395 Å, intensity 19
2θ 59.72, 1.548 Å, intensity 18
2θ 72.00, 1.312 Å, intensity 18

Structure:
Cell lengths 5.4254, 5.4254, 14.9850 Å; angles 90.00, 90.00, 90.00 degrees
Space group I4/mmm (No. 139)
Inequivalent atoms, fractional coordinates:
1 Ca 0.0000 0.0000 0.2016 x4
2 Ca 0.0000 0.5000 0.0000 x4
3 Ag 0.0000 0.0000 0.3973 x4
4 Cl 0.0000 0.0000 0.0000 x2

***

Diffraction record for LiB8C8. The XRD peak list is simulated, not measured: it uses DFT lattice parameters and positions (GGA-PBE) and Cu Kα (weighted mean of Kα1 and Kα2).

The 12 most intense peaks (2θ = 10–90°), most intense first:
2θ 16.72, 5.302 Å, intensity 100
2θ 37.62, 2.391 Å, intensity 13
2θ 51.72, 1.767 Å, intensity 8
2θ 33.81, 2.651 Å, intensity 5
2θ 42.58, 2.123 Å, intensity 5
2θ 43.87, 2.064 Å, intensity 5
2θ 73.17, 1.293 Å, intensity 4
2θ 73.52, 1.288 Å, intensity 4
2θ 67.78, 1.383 Å, intensity 3
2θ 40.25, 2.240 Å, intensity 3
2θ 68.17, 1.376 Å, intensity 3
2θ 47.57, 1.911 Å, intensity 3

Structure:
Cell lengths 4.8079, 2.7650, 10.7139 Å; angles 90.00, 98.20, 90.00 degrees
Space group P2/m (No. 10)
Inequivalent atoms, fractional coordinates:
1 Li 0.0000 0.0000 0.0000 x1
2 B 0.2189 0.5000 0.6761 x2
3 B 0.2226 0.5000 0.1667 x2
4 B 0.2817 0.0000 0.3222 x2
5 B 0.2851 0.0000 0.8348 x2
6 C 0.1117 0.5000 0.3191 x2
7 C 0.1139 0.5000 0.8378 x2
8 C 0.3860 0.0000 0.6769 x2
9 C 0.3875 0.0000 0.1634 x2

***

Diffraction record for Pr2NiH6Pd. The XRD peak list is simulated, not measured: it uses DFT lattice parameters and positions (GGA-PBE) and Cu Kα (weighted mean of Kα1 and Kα2).

The 12 most intense peaks (2θ = 10–90°), most intense first:
2θ 33.95, 2.640 Å, intensity 100
2θ 34.03, 2.635 Å, intensity 50
2θ 60.75, 1.524 Å, intensity 37
2θ 60.91, 1.521 Å, intensity 18
2θ 48.67, 1.871 Å, intensity 9
2θ 48.80, 1.866 Å, intensity 9
2θ 48.97, 1.860 Å, intensity 9
2θ 81.35, 1.183 Å, intensity 8
2θ 81.57, 1.180 Å, intensity 8
2θ 81.85, 1.177 Å, intensity 8
2θ 23.81, 3.737 Å, intensity 7
2θ 71.39, 1.321 Å, intensity 6

Structure:
Cell lengths 7.4396, 7.4646, 7.4838 Å; angles 90.00, 90.00, 90.00 degrees
Space group Fmmm (No. 69)
Inequivalent atoms, fractional coordinates:
1 Pr 0.2500 0.2500 0.2500 x8
2 Ni 0.0000 0.0000 0.0000 x4
3 H 0.0000 0.0000 0.2322 x8
4 H 0.0000 0.2327 0.0000 x8
5 H 0.2336 0.0000 0.0000 x8
6 Pd 0.0000 0.0000 0.5000 x4